Entry 1:
Starting from a crystal structure in Alexandria, relaxed with GGA-PBE, the powder diffraction line list of Sc7SiS5 was simulated for Cu Kα.

Top 10 peaks for 10° ≤ 2θ ≤ 90°, sorted by position:
two_theta, intensity
32.61, 68
33.15, 29
33.94, 100
35.23, 70
36.47, 36
45.71, 33
49.27, 34
49.47, 23
49.78, 32
49.99, 23

Cell and atoms:
Lattice parameters (Å, degrees): 6.317 6.317 21.584 90.00 90.00 145.95
Fractional coordinates of all 26 atoms:
Sc 0.034 0.966 0.750
Sc 0.138 0.862 0.037
Sc 0.138 0.862 0.463
Sc 0.314 0.686 0.679
Sc 0.314 0.686 0.821
Sc 0.405 0.595 0.117
Sc 0.405 0.595 0.383
Sc 0.595 0.405 0.617
Sc 0.595 0.405 0.883
Sc 0.686 0.314 0.179
Sc 0.686 0.314 0.321
Sc 0.862 0.138 0.537
Sc 0.862 0.138 0.963
Sc 0.966 0.034 0.250
Si 0.305 0.695 0.250
Si 0.695 0.305 0.750
S 0.048 0.952 0.143
S 0.048 0.952 0.357
S 0.225 0.775 0.573
S 0.225 0.775 0.927
S 0.500 0.500 0.000
S 0.500 0.500 0.500
S 0.775 0.225 0.073
S 0.775 0.225 0.427
S 0.952 0.048 0.643
S 0.952 0.048 0.857

Entry 2:
Starting from a crystal structure in Alexandria, relaxed with GGA-PBE, the powder diffraction line list of Li2TmMg2 was simulated for Cu Kα.

Top 10 peaks for 10° ≤ 2θ ≤ 90°, sorted by position:
two_theta, intensity
17.46, 55
25.29, 55
28.22, 84
28.96, 52
32.82, 79
33.38, 81
37.76, 100
38.49, 41
39.86, 35
55.93, 35

Cell and atoms:
Lattice parameters (Å, degrees): 10.314 10.314 3.235 90.00 90.00 160.03
Fractional coordinates of all 5 atoms:
Li 0.198 0.802 0.000
Li 0.802 0.198 0.000
Tm 0.000 0.000 0.000
Mg 0.388 0.612 0.500
Mg 0.612 0.388 0.500

Entry 3:
Starting from a crystal structure in Alexandria, relaxed with GGA-PBE, the powder diffraction line list of Sc4InCoRu2 was simulated for Cu Kα.

Top 10 peaks for 10° ≤ 2θ ≤ 90°, sorted by position:
two_theta, intensity
27.24, 36
38.82, 96
39.00, 100
56.20, 31
63.43, 9
70.18, 13
70.52, 30
70.63, 16
83.32, 8
83.75, 10

Cell and atoms:
Lattice parameters (Å, degrees): 8.047 8.047 8.047 33.36 33.36 33.36
Fractional coordinates of all 8 atoms:
Sc 0.115 0.115 0.115
Sc 0.369 0.369 0.369
Sc 0.631 0.631 0.631
Sc 0.885 0.885 0.885
In 0.500 0.500 0.500
Co 0.000 0.000 0.000
Ru 0.249 0.249 0.249
Ru 0.751 0.751 0.751

Entry 4:
Starting from a crystal structure in Alexandria, relaxed with GGA-PBE, the powder diffraction line list of CsCuAg2C4N4 was simulated for Cu Kα.

Top 10 peaks for 10° ≤ 2θ ≤ 90°, sorted by position:
two_theta, intensity
24.05, 48
24.54, 25
24.94, 23
25.21, 100
26.37, 32
29.64, 31
30.63, 27
31.29, 28
43.05, 31
49.12, 18

Cell and atoms:
Lattice parameters (Å, degrees): 7.620 8.039 8.371 90.00 103.77 90.00
Fractional coordinates of all 24 atoms:
Cs 0.000 0.246 0.250
Cs 0.000 0.754 0.750
Cu 0.000 0.254 0.750
Cu 0.000 0.746 0.250
Ag 0.500 0.000 0.000
Ag 0.500 0.000 0.500
Ag 0.500 0.418 0.250
Ag 0.500 0.582 0.750
C 0.289 0.083 0.594
C 0.289 0.917 0.094
C 0.294 0.401 0.040
C 0.294 0.599 0.540
C 0.706 0.401 0.460
C 0.706 0.599 0.960
C 0.711 0.083 0.906
C 0.711 0.917 0.406
N 0.169 0.133 0.646
N 0.169 0.867 0.146
N 0.173 0.374 0.927
N 0.173 0.626 0.427
N 0.827 0.374 0.573
N 0.827 0.626 0.073
N 0.831 0.133 0.854
N 0.831 0.867 0.354